This entry pairs a crystal structure of KCdGeAs2 with its theoretical powder diffractogram. Radiation: CuKα. Structure: DFT lattice parameters and positions (GGA-PBE).

Main lines, low angle first (10° ≤ 2θ ≤ 80°):
2θ = 11.4°, I = 100, (1 0 0); 2θ = 27.4°, I = 15, (1 -2 0); 2θ = 27.7°, I = 14, (2 -1 0); 2θ = 28.8°, I = 25, (2 2 2); 2θ = 29.9°, I = 34, (1 1 -2); 2θ = 32.6°, I = 11, (0 3 1); 2θ = 33.9°, I = 14, (0 3 0); 2θ = 34.8°, I = 18, (2 -1 2); 2θ = 40.9°, I = 19, (1 1 4); 2θ = 44.4°, I = 11, (3 0 -2)

Structural model:
Unit cell a=8.2444 b=8.6120 c=8.8691 alpha=70.76 beta=75.33 gamma=73.35
Space group P-1 (No. 2)
Unique sites:
K: 0.0421 0.2352 0.1774
K: 0.0584 0.1976 0.6898
Cd: 0.4723 0.8234 0.6673
Cd: 0.4939 0.8975 0.1864
Ge: 0.3431 0.5511 0.5256
Ge: 0.4564 0.5859 0.0986
As: 0.2558 0.4472 0.3327
As: 0.2609 0.8667 0.4642
As: 0.2754 0.4070 0.8194
As: 0.2993 0.8720 0.9633